Record 1
For Ba2Y2Mn4O11, DFT lattice parameters and positions (PBE+U) gives the calculated X-ray diffraction stick pattern in this record (CuKα).
Intensities are scaled so that the largest is 100.

Most intense lines, 2θ = 10–90°, in order of rising 2θ:
| h k l | 2θ/deg | intensity |
| --- | --- | --- |
| 0 2 1 | 31.54 | 53 |
| 1 2 -1 | 31.88 | 95 |
| 0 2 -3 | 31.98 | 52 |
| 1 0 -2 | 32.74 | 100 |
| 0 4 -2 | 44.22 | 35 |
| 1 2 -5 | 58.06 | 40 |

```
data_Ba2Y2Mn4O11
_chemical_formula_sum 'Ba2 Y2 Mn4 O11'
_cell_length_a 3.855
_cell_length_b 8.193
_cell_length_c 8.730
_cell_angle_alpha 117.21
_cell_angle_beta 90.01
_cell_angle_gamma 90.08
_symmetry_space_group_name_H-M 'P -1'
_symmetry_Int_Tables_number 2
loop_
_symmetry_equiv_pos_as_xyz
'x,y,z'
'-x,-y,-z'
loop_
_atom_site_label
_atom_site_fract_x
_atom_site_fract_y
_atom_site_fract_z
_atom_site_occupancy
Ba1 0.000 0.000 0.000 1
Ba2 0.000 0.500 0.000 1
Y1 0.005 0.219 0.491 1
Mn1 0.496 0.618 0.727 1
Mn2 0.499 0.129 0.749 1
O1 0.001 0.882 0.276 1
O2 0.004 0.397 0.322 1
O3 0.492 0.366 0.688 1
O4 0.499 0.746 0.002 1
O5 0.499 0.843 0.708 1
O6 0.500 0.000 0.500 1
```

Record 2
For Li4Cr3NiO8, DFT lattice parameters and positions (PBE+U) gives the calculated X-ray diffraction stick pattern in this record (CuKα).
Intensities are scaled so that the largest is 100.

Most intense lines, 2θ = 10–90°, in order of rising 2θ:
| h k l | 2θ/deg | intensity |
| --- | --- | --- |
| 0 1 1 | 18.30 | 100 |
| 2 1 -1 | 35.66 | 14 |
| 0 2 -2 | 43.26 | 53 |
| 2 2 4 | 43.53 | 26 |
| 2 -2 0 | 62.78 | 21 |
| 2 0 6 | 63.29 | 14 |

```
data_Li4Cr3NiO8
_chemical_formula_sum 'Li8 Cr6 Ni2 O16'
_cell_length_a 5.881
_cell_length_b 5.917
_cell_length_c 10.199
_cell_angle_alpha 73.23
_cell_angle_beta 73.66
_cell_angle_gamma 60.29
_symmetry_space_group_name_H-M 'P -1'
_symmetry_Int_Tables_number 2
loop_
_symmetry_equiv_pos_as_xyz
'x,y,z'
'-x,-y,-z'
loop_
_atom_site_label
_atom_site_fract_x
_atom_site_fract_y
_atom_site_fract_z
_atom_site_occupancy
Li1 0.000 0.000 0.000 1
Li2 0.000 0.500 0.500 1
Li3 0.248 0.252 0.749 1
Li4 0.249 0.750 0.245 1
Li5 0.500 0.000 0.000 1
Li6 0.500 0.500 0.500 1
Cr1 0.000 0.500 0.000 1
Cr2 0.248 0.252 0.249 1
Cr3 0.253 0.752 0.749 1
Cr4 0.500 0.000 0.500 1
Ni1 0.000 0.000 0.500 1
Ni2 0.500 0.500 0.000 1
O1 0.111 0.141 0.129 1
O2 0.114 0.643 0.631 1
O3 0.128 0.605 0.126 1
O4 0.153 0.107 0.619 1
O5 0.365 0.399 0.880 1
O6 0.376 0.898 0.380 1
O7 0.384 0.355 0.374 1
O8 0.392 0.859 0.869 1
```

Record 3
For Ba2AlFe3O8, DFT lattice parameters and positions (PBE+U) gives the calculated X-ray diffraction stick pattern in this record (CuKα).
Intensities are scaled so that the largest is 100.

Most intense lines, 2θ = 10–90°, in order of rising 2θ:
| h k l | 2θ/deg | intensity |
| --- | --- | --- |
| 1 0 3 | 32.11 | 100 |
| 1 1 0 | 32.75 | 41 |
| 1 1 3 | 39.87 | 12 |
| 2 0 0 | 46.99 | 31 |
| 1 1 6 | 56.84 | 22 |
| 2 1 3 | 58.06 | 36 |

```
data_Ba2AlFe3O8
_chemical_formula_sum 'Ba2 Al1 Fe3 O8'
_cell_length_a 3.867
_cell_length_b 3.867
_cell_length_c 12.063
_cell_angle_alpha 90.00
_cell_angle_beta 90.00
_cell_angle_gamma 90.00
_symmetry_space_group_name_H-M 'P 4/m m m'
_symmetry_Int_Tables_number 123
_symmetry_space_group_name_Hall '-P 4 2'
loop_
_atom_site_label
_atom_site_fract_x
_atom_site_fract_y
_atom_site_fract_z
_atom_site_occupancy
Ba1 0.000 0.000 0.166 1
Al1 0.000 0.000 0.500 1
Fe1 0.500 0.500 0.000 1
Fe2 0.500 0.500 0.351 1
O1 0.000 0.500 0.000 1
O2 0.000 0.500 0.398 1
O3 0.500 0.500 0.194 1
```

Record 4
For KSrGdMnO6, DFT lattice parameters and positions (PBE+U) gives the calculated X-ray diffraction stick pattern in this record (CuKα).
Intensities are scaled so that the largest is 100.

Most intense lines, 2θ = 10–90°, in order of rising 2θ:
| h k l | 2θ/deg | intensity |
| --- | --- | --- |
| 1 1 1 | 18.52 | 21 |
| 2 2 0 | 30.47 | 100 |
| 4 0 0 | 43.64 | 35 |
| 4 2 2 | 54.15 | 38 |
| 4 4 0 | 63.42 | 21 |
| 6 4 2 | 88.11 | 21 |

```
data_KSrGdMnO6
_chemical_formula_sum 'K4 Sr4 Gd4 Mn4 O24'
_cell_length_a 8.297
_cell_length_b 8.297
_cell_length_c 8.297
_cell_angle_alpha 90.00
_cell_angle_beta 90.00
_cell_angle_gamma 90.00
_symmetry_space_group_name_H-M 'F -4 3 m'
_symmetry_Int_Tables_number 216
_symmetry_space_group_name_Hall 'F -4 2 3'
loop_
_atom_site_label
_atom_site_fract_x
_atom_site_fract_y
_atom_site_fract_z
_atom_site_occupancy
K1 0.000 0.000 0.000 1
Sr1 0.000 0.000 0.500 1
Gd1 0.250 0.250 0.250 1
Mn1 0.250 0.250 0.750 1
O1 0.021 0.250 0.750 1
```